Sr2P3Pd3: computed powder X-ray diffraction pattern (Cu Kα (λ = 1.5418 Å)), based on a PBE-relaxed structure.
Lines closer than 0.1° are merged.

Principal peaks in the range 2θ = 15–90°, low angle first:
(0 1 9), 31.3°, intensity 16
(1 1 6), 33.6°, intensity 100
(1 0 13), 40.1°, intensity 10
(0 2 0), 42.2°, intensity 23
(2 0 0), 42.8°, intensity 22
(1 1 14), 47.7°, intensity 10
(2 2 0), 61.7°, intensity 14
(1 1 22), 67.4°, intensity 14
(1 3 6), 71.7°, intensity 11
(3 1 6), 72.6°, intensity 10

Structure:
Cell: 4.223 4.284 34.486 Å, 90.00 90.00 90.00°
Space group Pmmm (No. 47)
Symmetry-distinct sites (fractional):
Sr 0.000 0.000 0.072 [2 per cell]
Sr 0.000 0.500 0.321 [2 per cell]
Sr 0.500 0.000 0.177 [2 per cell]
Sr 0.500 0.500 0.427 [2 per cell]
P 0.000 0.000 0.460 [2 per cell]
P 0.000 0.500 0.144 [2 per cell]
P 0.000 0.500 0.210 [2 per cell]
P 0.500 0.000 0.287 [2 per cell]
P 0.500 0.000 0.353 [2 per cell]
P 0.500 0.500 0.040 [2 per cell]
Pd 0.000 0.000 0.250 [2 per cell]
Pd 0.000 0.000 0.389 [2 per cell]
Pd 0.000 0.500 0.000 [1 per cell]
Pd 0.000 0.500 0.500 [1 per cell]
Pd 0.500 0.000 0.000 [1 per cell]
Pd 0.500 0.000 0.500 [1 per cell]
Pd 0.500 0.500 0.109 [2 per cell]
Pd 0.500 0.500 0.248 [2 per cell]

TbP2Pd2: computed powder X-ray diffraction pattern (Cu Kα (λ = 1.5418 Å)), based on a PBE-relaxed structure.
Lines closer than 0.1° are merged.

Principal peaks in the range 2θ = 15–90°, low angle first:
(1 0 1), 23.5°, intensity 23
(1 0 3), 34.8°, intensity 26
(1 1 2), 35.8°, intensity 100
(0 0 4), 36.1°, intensity 17
(2 0 0), 44.1°, intensity 35
(2 1 3), 57.4°, intensity 12
(2 0 4), 58.3°, intensity 17
(2 2 0), 64.2°, intensity 11
(1 1 6), 64.8°, intensity 14
(3 1 2), 75.8°, intensity 22

Structure:
Cell: 4.103 4.103 9.944 Å, 90.00 90.00 90.00°
Space group I4/mmm (No. 139)
Symmetry-distinct sites (fractional):
Tb 0.000 0.000 0.000 [2 per cell]
P 0.000 0.000 0.389 [4 per cell]
Pd 0.000 0.500 0.250 [4 per cell]

TlPPd5: computed powder X-ray diffraction pattern (Cu Kα (λ = 1.5418 Å)), based on a PBE-relaxed structure.
Lines closer than 0.1° are merged.

Principal peaks in the range 2θ = 15–90°, low angle first:
(1 1 1), 34.1°, intensity 63
(0 0 3), 37.9°, intensity 27
(1 1 2), 40.7°, intensity 100
(2 0 0), 45.3°, intensity 48
(2 0 3), 60.5°, intensity 28
(2 2 0), 66.0°, intensity 15
(1 1 5), 74.6°, intensity 18
(3 1 1), 76.4°, intensity 12
(2 2 3), 78.7°, intensity 13
(3 1 2), 80.5°, intensity 27

Structure:
Cell: 4.004 4.004 7.116 Å, 90.00 90.00 90.00°
Space group P4/mmm (No. 123)
Symmetry-distinct sites (fractional):
Tl 0.000 0.000 0.000 [1 per cell]
P 0.500 0.500 0.500 [1 per cell]
Pd 0.000 0.500 0.303 [4 per cell]
Pd 0.500 0.500 0.000 [1 per cell]

TmPPd: computed powder X-ray diffraction pattern (Cu Kα (λ = 1.5418 Å)), based on a PBE-relaxed structure.
Lines closer than 0.1° are merged.

Principal peaks in the range 2θ = 15–90°, low angle first:
(0 1 1), 25.2°, intensity 27
(2 1 0), 34.6°, intensity 41
(1 1 2), 35.0°, intensity 100
(2 1 1), 36.6°, intensity 78
(1 0 3), 37.3°, intensity 38
(3 0 1), 41.3°, intensity 20
(0 1 3), 41.8°, intensity 28
(2 0 3), 44.0°, intensity 21
(0 2 0), 45.7°, intensity 31
(3 1 4), 67.8°, intensity 24

Structure:
Cell: 6.845 3.972 7.723 Å, 90.00 90.00 90.00°
Space group Pnma (No. 62)
Symmetry-distinct sites (fractional):
Tm 0.031 0.250 0.186 [4 per cell]
P 0.250 0.250 0.877 [4 per cell]
Pd 0.148 0.250 0.562 [4 per cell]

Tm3P6Pd20: computed powder X-ray diffraction pattern (Cu Kα (λ = 1.5418 Å)), based on a PBE-relaxed structure.
Lines closer than 0.1° are merged.

Principal peaks in the range 2θ = 15–90°, low angle first:
(4 2 0), 32.7°, intensity 23
(4 2 2), 35.9°, intensity 38
(3 3 3), 38.2°, intensity 100
(4 4 0), 41.7°, intensity 34
(5 3 1), 43.8°, intensity 21
(6 2 2), 49.4°, intensity 12
(6 6 0), 64.6°, intensity 30
(5 5 5), 66.1°, intensity 15
(8 4 4), 76.2°, intensity 22
(9 3 3), 77.6°, intensity 10

Structure:
Cell: 12.239 12.239 12.239 Å, 90.00 90.00 90.00°
Space group Fm-3m (No. 225)
Symmetry-distinct sites (fractional):
Tm 0.000 0.000 0.000 [4 per cell]
Tm 0.250 0.250 0.250 [8 per cell]
P 0.000 0.000 0.265 [24 per cell]
Pd 0.000 0.172 0.172 [48 per cell]
Pd 0.117 0.117 0.383 [32 per cell]

ZnPPd5: computed powder X-ray diffraction pattern (Cu Kα (λ = 1.5418 Å)), based on a PBE-relaxed structure.
Lines closer than 0.1° are merged.

Principal peaks in the range 2θ = 15–90°, low angle first:
(1 1 0), 32.3°, intensity 15
(1 1 1), 34.8°, intensity 36
(0 0 3), 39.0°, intensity 20
(1 1 2), 41.7°, intensity 100
(2 0 0), 46.3°, intensity 46
(2 0 3), 62.1°, intensity 20
(2 2 0), 67.5°, intensity 16
(1 1 5), 76.9°, intensity 18
(2 2 3), 80.8°, intensity 9
(3 1 2), 82.6°, intensity 26

Structure:
Cell: 3.924 3.924 6.932 Å, 90.00 90.00 90.00°
Space group P4/mmm (No. 123)
Symmetry-distinct sites (fractional):
Zn 0.000 0.000 0.000 [1 per cell]
P 0.500 0.500 0.500 [1 per cell]
Pd 0.000 0.500 0.294 [4 per cell]
Pd 0.500 0.500 0.000 [1 per cell]

PmP3: computed powder X-ray diffraction pattern (Cu Kα (λ = 1.5418 Å)), based on a PBE-relaxed structure.
Lines closer than 0.1° are merged.

Principal peaks in the range 2θ = 15–90°, low angle first:
(0 0 2), 18.5°, intensity 33
(1 0 1), 24.3°, intensity 70
(1 1 0), 31.9°, intensity 18
(1 0 3), 36.0°, intensity 26
(1 1 2), 37.1°, intensity 100
(0 0 4), 37.5°, intensity 24
(2 0 0), 45.7°, intensity 27
(2 1 1), 52.4°, intensity 18
(2 0 4), 60.5°, intensity 23
(3 1 2), 78.8°, intensity 22

Structure:
Cell: 3.971 3.971 9.603 Å, 90.00 90.00 90.00°
Space group I4/mmm (No. 139)
Symmetry-distinct sites (fractional):
Pm 0.000 0.000 0.000 [2 per cell]
P 0.000 0.000 0.500 [2 per cell]
P 0.000 0.500 0.250 [4 per cell]

PrP2: computed powder X-ray diffraction pattern (Cu Kα (λ = 1.5418 Å)), based on a PBE-relaxed structure.
Lines closer than 0.1° are merged.

Principal peaks in the range 2θ = 15–90°, low angle first:
(0 1 2), 22.5°, intensity 80
(1 0 0), 22.7°, intensity 31
(1 0 -2), 24.9°, intensity 36
(0 2 0), 27.0°, intensity 37
(1 1 -2), 28.4°, intensity 85
(0 1 3), 30.4°, intensity 30
(1 2 -1), 35.1°, intensity 73
(1 1 2), 35.6°, intensity 100
(1 1 -4), 40.0°, intensity 34
(0 3 3), 49.8°, intensity 29

Structure:
Cell: 4.073 6.616 10.242 Å, 90.00 105.66 90.00°
Space group P2_1/c (No. 14)
Symmetry-distinct sites (fractional):
Pr 0.083 0.184 0.360 [4 per cell]
P 0.304 0.621 0.453 [4 per cell]
P 0.466 0.162 0.665 [4 per cell]

PrP: computed powder X-ray diffraction pattern (Cu Kα (λ = 1.5418 Å)), based on a PBE-relaxed structure.
Lines closer than 0.1° are merged.

Principal peaks in the range 2θ = 15–90°, low angle first:
(1 1 1), 25.9°, intensity 78
(2 0 0), 30.0°, intensity 100
(2 2 0), 43.0°, intensity 74
(3 1 1), 50.9°, intensity 39
(2 2 2), 53.3°, intensity 26
(4 0 0), 62.4°, intensity 12
(3 3 1), 68.8°, intensity 16
(4 2 0), 70.8°, intensity 33
(4 2 2), 78.8°, intensity 25
(5 1 1), 84.7°, intensity 12

Structure:
Cell: 5.949 5.949 5.949 Å, 90.00 90.00 90.00°
Space group Fm-3m (No. 225)
Symmetry-distinct sites (fractional):
Pr 0.000 0.000 0.000 [4 per cell]
P 0.000 0.000 0.500 [4 per cell]

PrP2Rh2: computed powder X-ray diffraction pattern (Cu Kα (λ = 1.5418 Å)), based on a PBE-relaxed structure.
Lines closer than 0.1° are merged.

Principal peaks in the range 2θ = 15–90°, low angle first:
(1 1 0), 30.2°, intensity 22
(1 1 1), 31.6°, intensity 39
(1 0 3), 35.2°, intensity 89
(1 1 2), 35.6°, intensity 100
(2 0 0), 43.2°, intensity 74
(1 0 5), 52.2°, intensity 27
(2 1 3), 56.9°, intensity 44
(2 2 0), 62.8°, intensity 25
(1 1 6), 66.2°, intensity 21
(3 1 2), 74.3°, intensity 23

Structure:
Cell: 4.185 4.185 9.638 Å, 90.00 90.00 90.00°
Space group P4/nmm (No. 129, origin choice 2)
Symmetry-distinct sites (fractional):
Pr 0.250 0.250 0.242 [2 per cell]
P 0.250 0.250 0.638 [2 per cell]
P 0.250 0.750 0.000 [2 per cell]
Rh 0.250 0.250 0.888 [2 per cell]
Rh 0.250 0.750 0.500 [2 per cell]

PrP2Ru2: computed powder X-ray diffraction pattern (Cu Kα (λ = 1.5418 Å)), based on a PBE-relaxed structure.
Lines closer than 0.1° are merged.

Principal peaks in the range 2θ = 15–90°, low angle first:
(1 0 1), 23.5°, intensity 25
(1 0 3), 34.4°, intensity 35
(0 0 4), 35.2°, intensity 19
(1 1 2), 35.8°, intensity 100
(2 0 0), 44.4°, intensity 39
(2 1 3), 57.3°, intensity 16
(2 0 4), 57.9°, intensity 18
(1 1 6), 63.6°, intensity 21
(2 2 0), 64.6°, intensity 12
(3 1 2), 76.1°, intensity 22

Structure:
Cell: 4.080 4.080 10.191 Å, 90.00 90.00 90.00°
Space group I4/mmm (No. 139)
Symmetry-distinct sites (fractional):
Pr 0.000 0.000 0.000 [2 per cell]
P 0.000 0.000 0.366 [4 per cell]
Ru 0.000 0.500 0.250 [4 per cell]

PrP12Ru4: computed powder X-ray diffraction pattern (Cu Kα (λ = 1.5418 Å)), based on a PBE-relaxed structure.
Lines closer than 0.1° are merged.

Principal peaks in the range 2θ = 15–90°, low angle first:
(1 1 0), 15.5°, intensity 16
(2 0 0), 21.9°, intensity 20
(2 2 0), 31.2°, intensity 100
(3 0 1), 35.0°, intensity 45
(3 1 2), 41.7°, intensity 32
(4 0 0), 44.7°, intensity 15
(4 0 2), 50.3°, intensity 29
(4 2 2), 55.5°, intensity 55
(4 3 1), 58.0°, intensity 23
(6 2 0), 74.0°, intensity 21

Structure:
Cell: 8.106 8.106 8.106 Å, 90.00 90.00 90.00°
Space group Im-3 (No. 204)
Symmetry-distinct sites (fractional):
Pr 0.000 0.000 0.000 [2 per cell]
P 0.000 0.358 0.144 [24 per cell]
Ru 0.250 0.250 0.250 [8 per cell]